# Ga2SiTcAg
Computed PXRD pattern, Cu Ka. Input: the GGA-PBE geometry in Alexandria.
Neutral-atom scattering factors, no anomalous dispersion.

Principal peaks in the range 2θ from 10° to 90°, by angle:
| h k l | two_theta | d/Å | I (rel.) |
| --- | --- | --- | --- |
| 1 0 0 | 18.7 | 4.748 | 1000 |
| 1 1 1 | 31.8 | 2.810 | 558 |
| 0 0 2 | 34.9 | 2.568 | 465 |
| 2 0 0 | 37.9 | 2.374 | 740 |
| 1 0 2 | 39.9 | 2.259 | 288 |
| 2 1 0 | 42.6 | 2.123 | 239 |
| 2 0 2 | 52.5 | 1.743 | 560 |
| 2 2 0 | 54.7 | 1.679 | 247 |
| 2 1 2 | 56.2 | 1.636 | 204 |
| 2 2 2 | 66.6 | 1.405 | 267 |

Cell and atoms:
```
data_Ga2SiTcAg
_chemical_formula_sum 'Ga2 Si1 Tc1 Ag1'
_cell_length_a 4.7479
_cell_length_b 4.7479
_cell_length_c 5.1360
_cell_angle_alpha 90.00
_cell_angle_beta 90.00
_cell_angle_gamma 90.00
_space_group_name_H-M_alt 'P 4/m m m'
_space_group_IT_number 123
_space_group_name_Hall '-P 4 2'
loop_
_atom_site_label
_atom_site_type_symbol
_atom_site_fract_x
_atom_site_fract_y
_atom_site_fract_z
Ga1 Ga 0.0000 0.5000 0.0000
Si1 Si 0.0000 0.0000 0.5000
Tc1 Tc 0.5000 0.5000 0.0000
Ag1 Ag 0.5000 0.5000 0.5000
```